# 1
Simulated powder diffraction line list of LiTiV3O10 for Cu Ka, from a GGA+U-relaxed structure.
Peak positions follow from Bragg's law for the DFT cell and can differ from measured ones.

Largest 6 diffraction maxima, low angle first, 2θ = 15–90°:
2θ (°), Rel. int., index
18.23, 100, 0 0 1
23.21, 22, 1 1 1
26.99, 83, 2 2 0
32.02, 37, 2 2 -1
33.50, 28, 2 2 1
55.65, 18, 4 4 0

Crystal structure
a = 9.302 Å, b = 9.407 Å, c = 4.877 Å
α = 90.00°, β = 93.80°, γ = 90.00°
Space group C2 (No. 5)
Asymmetric unit:
Li1 0.000 0.000 0.000 x2
Ti1 0.000 0.249 0.500 x2
V1 0.000 0.749 0.500 x2
V2 0.241 0.999 0.611 x4
O1 0.098 0.859 0.732 x4
O2 0.105 0.130 0.736 x4
O3 0.117 0.644 0.326 x4
O4 0.122 0.363 0.317 x4
O5 0.207 0.999 0.279 x4

***

# 2
Simulated powder diffraction line list of Li2Ti2VO6 for Cu Ka, from a GGA+U-relaxed structure.
Peak positions follow from Bragg's law for the DFT cell and can differ from measured ones.

Largest 6 diffraction maxima, low angle first, 2θ = 15–90°:
2θ (°), Rel. int., index
17.05, 100, 0 0 2
35.64, 25, 3 1 1
43.55, 32, 3 1 3
49.86, 14, 0 2 4
56.70, 18, 3 1 5
63.04, 15, 3 3 1

Crystal structure
a = 9.021 Å, b = 5.145 Å, c = 10.402 Å
α = 90.00°, β = 90.00°, γ = 90.00°
Space group Cmce (No. 64)
Asymmetric unit:
Li1 0.250 0.082 0.250 x8
Ti1 0.160 0.000 0.000 x8
V1 0.000 0.000 0.500 x4
O1 0.000 0.146 0.899 x8
O2 0.182 0.178 0.607 x16

***

# 3
Simulated powder diffraction line list of Li4TiV3O10 for Cu Ka, from a GGA+U-relaxed structure.
Peak positions follow from Bragg's law for the DFT cell and can differ from measured ones.

Largest 6 diffraction maxima, low angle first, 2θ = 15–90°:
2θ (°), Rel. int., index
19.36, 66, 0 0 1
23.49, 39, 1 0 1
26.51, 100, 2 0 0
33.04, 88, 2 0 1
54.60, 30, 4 0 0
55.71, 23, 2 2 2

Crystal structure
a = 6.724 Å, b = 6.724 Å, c = 4.584 Å
α = 90.00°, β = 90.00°, γ = 90.00°
Space group P-4m2 (No. 115)
Asymmetric unit:
Li1 0.249 0.249 0.000 x4
Ti1 0.500 0.500 0.500 x1
V1 0.000 0.000 0.500 x1
V2 0.000 0.500 0.603 x2
O1 0.000 0.219 0.732 x4
O2 0.000 0.500 0.235 x2
O3 0.281 0.500 0.736 x4